The following is a theoretical PXRD pattern of Li8Mn3Fe5B8O24. It was derived from a crystal structure in the Materials Project, relaxed with PBE+U, using Cu Ka.
Peak positions follow from Bragg's law for the DFT cell and can differ from measured ones.

Principal peaks in the range 10° ≤ 2θ ≤ 90°, in order of rising 2θ:
19.60 deg, rel. 68; 21.43 deg, rel. 40; 21.58 deg, rel. 64; 25.72 deg, rel. 45; 26.44 deg, rel. 29; 34.17 deg, rel. 26; 34.30 deg, rel. 62; 34.58 deg, rel. 100; 40.45 deg, rel. 50; 40.85 deg, rel. 26

Cell and atoms:
```
Li8Mn3Fe5B8O24
1.0
5.229 0.000 0.000
-2.595 4.541 0.000
-0.339 -0.565 20.752
Li Mn Fe B O
8 3 5 8 24
direct
0.000 0.000 0.000
0.000 0.002 0.500
0.657 0.696 0.625
0.659 0.697 0.126
0.670 0.685 0.874
0.670 0.688 0.375
0.971 0.026 0.251
0.974 0.028 0.750
0.323 0.672 0.483
0.324 0.674 0.982
0.991 0.352 0.108
0.319 0.024 0.858
0.333 0.022 0.357
0.638 0.347 0.733
0.644 0.344 0.233
0.993 0.347 0.608
0.319 0.688 0.729
0.320 0.692 0.230
0.326 0.015 0.105
0.328 0.018 0.605
0.661 0.346 0.480
0.662 0.347 0.979
0.986 0.353 0.354
0.989 0.357 0.854
0.050 0.987 0.097
0.053 0.998 0.599
0.064 0.423 0.216
0.065 0.421 0.714
0.249 0.603 0.374
0.254 0.604 0.874
0.294 0.937 0.249
0.297 0.933 0.749
0.352 0.769 0.590
0.362 0.773 0.089
0.388 0.098 0.464
0.389 0.098 0.963
0.567 0.282 0.125
0.574 0.282 0.625
0.592 0.715 0.223
0.594 0.713 0.723
0.694 0.623 0.472
0.694 0.624 0.972
0.737 0.381 0.339
0.740 0.380 0.839
0.898 0.314 0.500
0.899 0.313 0.999
0.967 0.082 0.348
0.970 0.082 0.848
```